Theoretical PXRD pattern
Compound: Pm6PrSm3
Radiation: Cu Kα (weighted mean of Kα1 and Kα2)
Structure: the PBE geometry in Alexandria

Principal peaks in the range 2θ = 5–70°, in order of falling intensity:
2θ (°)  d/Å  I_rel  index
31.00  2.885  100  0 6 1
33.53  2.673  83  2 2 2
28.13  3.172  70  2 4 1
31.21  2.865  51  3 3 1
28.28  3.155  38  3 1 1
32.15  2.784  32  2 0 2

Crystal structure
Cell lengths 11.053, 19.357, 6.442 Å; angles 90.00, 90.00, 90.00 degrees
Space group Cmc2_1 (No. 36)
Unique sites:
Pm1 0.000 0.035 0.000 (multiplicity 4)
Pm2 0.000 0.281 0.214 (multiplicity 4)
Pm3 0.169 0.459 0.307 (multiplicity 8)
Pm4 0.236 0.292 0.486 (multiplicity 8)
Pr1 0.000 0.191 0.754 (multiplicity 4)
Sm1 0.000 0.384 0.772 (multiplicity 4)
Sm2 0.175 0.117 0.399 (multiplicity 8)

=====

Theoretical PXRD pattern
Compound: BaBe4Pd3O12
Radiation: Cu Kα (weighted mean of Kα1 and Kα2)
Structure: the PBE geometry in Alexandria

Principal peaks in the range 2θ = 5–70°, in order of falling intensity:
2θ (°)  d/Å  I_rel  index
23.26  3.824  100  0 2 1
30.97  2.888  77  2 0 2
17.38  5.103  42  1 1 0
43.90  2.062  37  3 1 2
29.18  3.060  27  2 1 1
66.03  1.415  19  5 2 0

Crystal structure
Cell lengths 10.2059, 10.2059, 7.6287 Å; angles 90.00, 90.00, 120.00 degrees
Space group R32 (No. 155, hexagonal axes)
Unique sites:
Ba1 0.0000 0.0000 0.0000 (multiplicity 3)
Be1 0.0000 0.0000 0.5000 (multiplicity 3)
Be2 0.0000 0.4284 0.5000 (multiplicity 9)
Pd1 0.0000 0.5660 0.0000 (multiplicity 9)
O1 0.0000 0.5836 0.5000 (multiplicity 9)
O2 0.0000 0.8455 0.5000 (multiplicity 9)
O3 0.0496 0.2308 0.1904 (multiplicity 18)

=====

Theoretical PXRD pattern
Compound: Tm4Sb3Te
Radiation: Cu Kα (weighted mean of Kα1 and Kα2)
Structure: the PBE geometry in Alexandria

Principal peaks in the range 2θ = 5–70°, in order of falling intensity:
2θ (°)  d/Å  I_rel  index
29.17  3.062  100  0 2 0
41.72  2.165  76  2 0 0
68.53  1.369  34  3 0 2
51.71  1.768  27  2 2 0
60.47  1.531  13  0 4 0
25.19  3.536  5  1 1 0

Crystal structure
Cell lengths 4.329, 6.122, 8.663 Å; angles 90.00, 90.00, 90.00 degrees
Space group Pmmm (No. 47)
Unique sites:
Tm1 0.000 0.000 0.000 (multiplicity 1)
Tm2 0.000 0.000 0.500 (multiplicity 1)
Tm3 0.500 0.500 0.242 (multiplicity 2)
Sb1 0.000 0.500 0.000 (multiplicity 1)
Sb2 0.500 0.000 0.252 (multiplicity 2)
Te1 0.000 0.500 0.500 (multiplicity 1)